# Sc2P
Theoretical powder X-ray diffraction pattern, a wavelength of 1.5418 Å. Input: a crystal structure in Alexandria, relaxed with GGA-PBE.

Principal peaks in the range 10° ≤ 2θ ≤ 90°, in order of rising 2θ:
d = 4.246 Å, 2θ = 20.92°, intensity 28; d = 3.149 Å, 2θ = 28.34°, intensity 12; d = 2.979 Å, 2θ = 29.99°, intensity 18; d = 2.794 Å, 2θ = 32.04°, intensity 100; d = 2.698 Å, 2θ = 33.21°, intensity 54; d = 2.169 Å, 2θ = 41.64°, intensity 52; d = 2.123 Å, 2θ = 42.58°, intensity 17; d = 1.855 Å, 2θ = 49.11°, intensity 17; d = 1.772 Å, 2θ = 51.57°, intensity 29; d = 1.682 Å, 2θ = 54.56°, intensity 19; d = 1.529 Å, 2θ = 60.58°, intensity 16; d = 1.140 Å, 2θ = 85.07°, intensity 13

a b c (Å): 5.959 6.052 3.710
angles (deg): 90.00 90.00 90.00
Sites, in units of the cell vectors:
Sc: 0.250 0.158 0.000
Sc: 0.250 0.658 0.500
Sc: 0.750 0.342 0.500
Sc: 0.750 0.842 0.000
P: 0.000 0.000 0.500
P: 0.500 0.500 0.000

# Mg5Cd6In
Theoretical powder X-ray diffraction pattern, a wavelength of 1.5418 Å. Input: a crystal structure in Alexandria, relaxed with GGA-PBE.

Principal peaks in the range 10° ≤ 2θ ≤ 90°, in order of rising 2θ:
d = 4.364 Å, 2θ = 20.35°, intensity 83; d = 3.208 Å, 2θ = 27.81°, intensity 39; d = 3.169 Å, 2θ = 28.16°, intensity 39; d = 2.613 Å, 2θ = 34.32°, intensity 100; d = 2.601 Å, 2θ = 34.48°, intensity 99; d = 2.558 Å, 2θ = 35.08°, intensity 95; d = 2.529 Å, 2θ = 35.50°, intensity 92; d = 2.277 Å, 2θ = 39.58°, intensity 68; d = 2.233 Å, 2θ = 40.39°, intensity 64; d = 2.182 Å, 2θ = 41.38°, intensity 58; d = 1.367 Å, 2θ = 68.65°, intensity 25; d = 1.337 Å, 2θ = 70.40°, intensity 23

a b c (Å): 4.469 7.162 8.734
angles (deg): 89.08 87.93 72.51
Sites, in units of the cell vectors:
Mg: 0.000 0.000 0.000
Mg: 0.333 0.333 0.000
Mg: 0.334 0.331 0.500
Mg: 0.666 0.669 0.500
Mg: 0.667 0.667 0.000
Cd: 0.166 0.660 0.247
Cd: 0.176 0.661 0.754
Cd: 0.496 0.000 0.240
Cd: 0.504 0.000 0.760
Cd: 0.824 0.339 0.246
Cd: 0.834 0.340 0.753
In: 0.000 0.000 0.500